Entry 1:
Structure and theoretical PXRD pattern of BaCa5In2 (DFT lattice parameters and positions (GGA-PBE); CuKα).

The 10 most intense peaks (15 to 90 degrees two-theta), by angle:
2theta	I_rel
18.01	54.5
23.96	100.0
25.68	46.3
27.64	76.1
32.01	29.1
33.59	44.5
34.69	48.1
35.33	74.9
49.02	57.6
59.01	18.2

Atomic structure:
Unit cell a=5.336 b=9.849 c=12.155 alpha=90.00 beta=90.00 gamma=90.00
Sites, in units of the cell vectors:
Ba  0.000  0.000  0.000
Ba  0.500  0.500  0.500
Ca  0.000  0.181  0.333
Ca  0.000  0.181  0.667
Ca  0.000  0.500  0.000
Ca  0.000  0.819  0.333
Ca  0.000  0.819  0.667
Ca  0.500  0.000  0.500
Ca  0.500  0.319  0.167
Ca  0.500  0.319  0.833
Ca  0.500  0.681  0.167
Ca  0.500  0.681  0.833
In  0.000  0.500  0.265
In  0.000  0.500  0.735
In  0.500  0.000  0.235
In  0.500  0.000  0.765

***

Entry 2:
Structure and theoretical PXRD pattern of Tb2Y6Ho3 (DFT lattice parameters and positions (GGA-PBE); CuKα).

The 10 most intense peaks (15 to 90 degrees two-theta), by angle:
2theta	I_rel
30.80	100.0
35.71	50.3
51.35	17.8
51.45	17.6
61.10	31.3
61.21	10.4
64.12	9.1
83.78	8.6
86.49	8.0
86.66	7.9

Atomic structure:
Unit cell a=31.937 b=31.937 c=31.937 alpha=6.39 beta=6.39 gamma=6.39
Sites, in units of the cell vectors:
Tb  0.046  0.046  0.046
Tb  0.954  0.954  0.954
Y  0.136  0.136  0.136
Y  0.318  0.318  0.318
Y  0.409  0.409  0.409
Y  0.591  0.591  0.591
Y  0.682  0.682  0.682
Y  0.864  0.864  0.864
Ho  0.227  0.227  0.227
Ho  0.500  0.500  0.500
Ho  0.773  0.773  0.773

***

Entry 3:
Structure and theoretical PXRD pattern of ZnGa2Ag2 (DFT lattice parameters and positions (GGA-PBE); CuKα).

The 10 most intense peaks (15 to 90 degrees two-theta), by angle:
2theta	I_rel
26.22	14.5
29.54	8.5
32.03	9.6
32.29	22.0
36.90	22.8
38.58	33.1
41.42	100.0
42.01	32.1
53.96	10.3
76.35	15.3

Atomic structure:
Unit cell a=7.269 b=7.269 c=6.048 alpha=90.00 beta=90.00 gamma=145.58
Sites, in units of the cell vectors:
Zn  0.085  0.915  0.500
Zn  0.915  0.085  0.000
Ga  0.291  0.709  0.221
Ga  0.478  0.522  0.421
Ga  0.522  0.478  0.921
Ga  0.709  0.291  0.721
Ag  0.136  0.864  0.945
Ag  0.338  0.662  0.772
Ag  0.662  0.338  0.272
Ag  0.864  0.136  0.445

***

Entry 4:
Structure and theoretical PXRD pattern of Rb3AuS8 (DFT lattice parameters and positions (GGA-PBE); CuKα).

The 10 most intense peaks (15 to 90 degrees two-theta), by angle:
2theta	I_rel
17.91	20.1
20.34	28.0
20.66	48.0
22.28	60.2
26.48	100.0
31.17	27.6
33.83	22.7
34.78	28.4
37.79	26.3
41.35	20.8

Atomic structure:
Unit cell a=8.447 b=8.447 c=6.815 alpha=109.02 beta=109.02 gamma=105.63
Sites, in units of the cell vectors:
Rb  0.000  0.000  0.000
Rb  0.277  0.771  0.528
Rb  0.771  0.277  0.528
Au  0.465  0.465  0.994
S  0.044  0.044  0.538
S  0.255  0.608  0.945
S  0.258  0.258  0.586
S  0.368  0.887  0.117
S  0.608  0.255  0.945
S  0.613  0.613  0.605
S  0.688  0.688  0.386
S  0.887  0.368  0.117